Starting from a structure optimized by DFT (PBE), the powder diffractogram of Ca9PrF20 was computed for copper Kα.
No peak broadening, texture or thermal motion is included.

The 10 most intense peaks (15° ≤ 2θ ≤ 90°), most intense first:
2theta  I_rel  hkl
27.79  100  0 2 2
46.11  68  2 3 1
46.31  34  0 1 6
54.92  13  4 1 2
54.83  13  4 0 -4
54.51  10  0 5 0
85.27  9  0 7 2
85.66  8  6 1 -5
85.77  8  6 2 1
74.30  5  4 4 0

Crystal structure
Lattice parameters (Å, degrees): 7.840 8.835 13.027 101.93 90.11 102.85
Space group P-1 (No. 2)
Asymmetric unit:
Ca 0.022 0.096 0.150
Ca 0.073 0.300 0.454
Ca 0.124 0.500 0.750
Ca 0.173 0.701 0.047
Ca 0.224 0.904 0.350
Ca 0.271 0.096 0.649
Ca 0.322 0.298 0.951
Ca 0.423 0.703 0.549
Ca 0.474 0.905 0.851
Pr 0.373 0.500 0.250
F 0.012 0.049 0.326
F 0.038 0.149 0.975
F 0.062 0.249 0.626
F 0.080 0.340 0.277
F 0.113 0.449 0.925
F 0.138 0.551 0.576
F 0.160 0.659 0.223
F 0.188 0.751 0.875
F 0.212 0.850 0.524
F 0.237 0.950 0.175
F 0.262 0.050 0.826
F 0.286 0.148 0.475
F 0.310 0.240 0.124
F 0.332 0.342 0.776
F 0.362 0.443 0.429
F 0.390 0.557 0.072
F 0.410 0.657 0.724
F 0.441 0.761 0.376
F 0.463 0.851 0.025
F 0.487 0.949 0.675